This entry pairs a crystal structure of TbFeBr with its theoretical X-ray diffraction stick pattern. Radiation: Cu Ka. Structure: DFT lattice parameters and positions (GGA-PBE).
Kinematic intensities with the Lorentz-polarization factor, no thermal factor.

Atomic structure:
Cell lengths 3.8767, 3.8767, 34.9188 Å; angles 90.00, 90.00, 120.00 degrees
Space group R-3m (No. 166, hexagonal axes)
One atom of each set of equivalent atoms:
1 Tb 0.0000 0.0000 0.0566 [6 per cell]
2 Fe 0.0000 0.0000 0.3351 [6 per cell]
3 Br 0.0000 0.0000 0.2216 [6 per cell]

Most intense lines, 2θ from 5° to 70°, low angle first:
index	2θ/deg	Rel. int.
0 0 3	7.6	100
0 0 6	15.2	10
1 0 1	26.7	35
1 0 7	32.1	70
0 1 8	33.7	30
1 0 10	37.1	22
0 1 11	39.1	33
1 1 0	46.9	51
0 2 7	58.0	13
1 1 18	68.4	24

---

This entry pairs a crystal structure of Zn3As2O8 with its theoretical X-ray diffraction stick pattern. Radiation: Cu Ka. Structure: DFT lattice parameters and positions (GGA-PBE).
Kinematic intensities with the Lorentz-polarization factor, no thermal factor.

Atomic structure:
Cell lengths 6.500, 8.716, 11.187 Å; angles 90.00, 92.65, 90.00 degrees
Space group P2_1/c (No. 14)
One atom of each set of equivalent atoms:
1 Zn 0.091 0.202 0.071 [4 per cell]
2 Zn 0.241 0.655 0.638 [4 per cell]
3 Zn 0.384 0.030 0.618 [4 per cell]
4 As 0.108 0.058 0.354 [4 per cell]
5 As 0.408 0.613 0.368 [4 per cell]
6 O 0.054 0.243 0.390 [4 per cell]
7 O 0.079 0.075 0.617 [4 per cell]
8 O 0.136 0.044 0.202 [4 per cell]
9 O 0.202 0.632 0.459 [4 per cell]
10 O 0.327 0.509 0.927 [4 per cell]
11 O 0.328 0.657 0.222 [4 per cell]
12 O 0.401 0.238 0.085 [4 per cell]
13 O 0.469 0.075 0.857 [4 per cell]

Most intense lines, 2θ from 5° to 70°, low angle first:
index	2θ/deg	Rel. int.
1 1 -2	22.9	25
1 2 -1	25.7	39
1 2 -2	29.1	29
2 1 0	29.4	35
2 1 -1	30.1	65
2 1 1	30.8	67
0 3 1	31.8	86
0 0 4	32.0	100
0 1 4	33.7	24
1 2 3	35.0	29

---

This entry pairs a crystal structure of Np3Te5 with its theoretical X-ray diffraction stick pattern. Radiation: Cu Ka. Structure: DFT lattice parameters and positions (GGA-PBE).
Kinematic intensities with the Lorentz-polarization factor, no thermal factor.

Atomic structure:
Cell lengths 13.000, 8.845, 8.267 Å; angles 90.00, 90.00, 90.00 degrees
Space group Pnma (No. 62)
One atom of each set of equivalent atoms:
1 Np 0.008 0.250 0.081 [4 per cell]
2 Np 0.181 0.000 0.524 [8 per cell]
3 Te 0.001 0.750 0.535 [4 per cell]
4 Te 0.096 0.550 0.172 [8 per cell]
5 Te 0.185 0.250 0.829 [4 per cell]
6 Te 0.220 0.750 0.800 [4 per cell]

Most intense lines, 2θ from 5° to 70°, low angle first:
index	2θ/deg	Rel. int.
3 0 1	23.2	41
2 2 0	24.3	31
4 0 1	29.5	34
1 2 2	30.4	35
3 2 1	30.8	42
2 2 2	32.7	100
4 2 0	34.2	40
0 4 0	40.8	40
5 2 1	41.7	51
6 0 2	47.4	34

---

This entry pairs a crystal structure of PmDyBe with its theoretical X-ray diffraction stick pattern. Radiation: Cu Ka. Structure: DFT lattice parameters and positions (GGA-PBE).
Kinematic intensities with the Lorentz-polarization factor, no thermal factor.

Atomic structure:
Cell lengths 6.793, 6.793, 6.793 Å; angles 90.00, 90.00, 90.00 degrees
Space group F-43m (No. 216)
One atom of each set of equivalent atoms:
1 Pm 0.000 0.000 0.000 [4 per cell]
2 Dy 0.250 0.250 0.250 [4 per cell]
3 Be 0.250 0.250 0.750 [4 per cell]

Most intense lines, 2θ from 5° to 70°, low angle first:
index	2θ/deg	Rel. int.
1 1 1	22.7	100
2 2 0	37.4	90
3 1 1	44.2	52
4 0 0	54.0	16
3 3 1	59.3	22
4 2 2	67.6	32

---

This entry pairs a crystal structure of Er2Ga2Ni3Pd with its theoretical X-ray diffraction stick pattern. Radiation: Cu Ka. Structure: DFT lattice parameters and positions (GGA-PBE).
Kinematic intensities with the Lorentz-polarization factor, no thermal factor.

Atomic structure:
Cell lengths 4.2002, 4.2002, 8.7528 Å; angles 90.00, 90.00, 120.00 degrees
Space group P3m1 (No. 156)
One atom of each set of equivalent atoms:
1 Er 0.0000 0.0000 0.0000 [1 per cell]
2 Er 0.3333 0.6667 0.5129 [1 per cell]
3 Ga 0.6667 0.3333 0.2752 [1 per cell]
4 Ga 0.6667 0.3333 0.7566 [1 per cell]
5 Ni 0.0000 0.0000 0.3350 [1 per cell]
6 Ni 0.0000 0.0000 0.6886 [1 per cell]
7 Ni 0.3333 0.6667 0.8248 [1 per cell]
8 Pd 0.3333 0.6667 0.1750 [1 per cell]

Most intense lines, 2θ from 5° to 70°, low angle first:
index	2θ/deg	Rel. int.
1 0 0	24.5	18
0 1 1	26.5	28
0 1 2	32.0	33
1 0 3	39.6	100
0 0 4	41.3	7
1 1 0	43.1	81
2 0 2	54.6	7
0 2 3	59.9	29
1 1 4	61.2	13
0 1 6	69.4	12

---

This entry pairs a crystal structure of Nd2ErZn3CdIn2 with its theoretical X-ray diffraction stick pattern. Radiation: Cu Ka. Structure: DFT lattice parameters and positions (GGA-PBE).
Kinematic intensities with the Lorentz-polarization factor, no thermal factor.

Atomic structure:
Cell lengths 4.641, 12.485, 7.360 Å; angles 90.00, 90.00, 90.00 degrees
Space group Amm2 (No. 38)
One atom of each set of equivalent atoms:
1 Nd 0.000 0.211 0.000 [4 per cell]
2 Er 0.000 0.000 0.361 [2 per cell]
3 Zn 0.500 0.000 0.016 [2 per cell]
4 Zn 0.500 0.117 0.668 [4 per cell]
5 Cd 0.000 0.000 0.773 [2 per cell]
6 In 0.500 0.163 0.288 [4 per cell]

Most intense lines, 2θ from 5° to 70°, low angle first:
index	2θ/deg	Rel. int.
0 2 2	28.1	15
1 0 2	31.0	31
1 3 1	31.3	76
1 2 2	34.3	100
1 4 0	34.6	54
0 1 3	37.4	20
0 4 2	37.8	14
2 0 0	38.8	48
0 3 3	42.7	27
3 2 2	67.4	19

---

This entry pairs a crystal structure of Ba2NaP2Au with its theoretical X-ray diffraction stick pattern. Radiation: Cu Ka. Structure: DFT lattice parameters and positions (GGA-PBE).
Kinematic intensities with the Lorentz-polarization factor, no thermal factor.

Atomic structure:
Cell lengths 4.6456, 4.6456, 8.8174 Å; angles 90.00, 90.00, 120.00 degrees
Space group P-6m2 (No. 187)
One atom of each set of equivalent atoms:
1 Ba 0.0000 0.0000 0.2503 [2 per cell]
2 Na 0.3333 0.6667 0.0000 [1 per cell]
3 P 0.3333 0.6667 0.5000 [1 per cell]
4 P 0.6667 0.3333 0.0000 [1 per cell]
5 Au 0.6667 0.3333 0.5000 [1 per cell]

Most intense lines, 2θ from 5° to 70°, low angle first:
index	2θ/deg	Rel. int.
0 0 1	10.0	31
1 0 0	22.1	21
1 0 1	24.3	23
1 0 2	30.1	100
1 1 0	38.8	40
0 0 4	40.9	11
2 0 2	49.8	24
1 1 4	57.7	25
2 1 2	64.9	22
1 0 6	67.9	10

---

This entry pairs a crystal structure of SmDyB2Ir2O2 with its theoretical X-ray diffraction stick pattern. Radiation: Cu Ka. Structure: DFT lattice parameters and positions (GGA-PBE).
Kinematic intensities with the Lorentz-polarization factor, no thermal factor.

Atomic structure:
Cell lengths 3.829, 3.829, 7.310 Å; angles 90.00, 90.00, 90.00 degrees
Space group P4mm (No. 99)
One atom of each set of equivalent atoms:
1 Sm 0.000 0.000 0.000 [1 per cell]
2 Dy 0.500 0.500 0.630 [1 per cell]
3 B 0.000 0.000 0.469 [1 per cell]
4 B 0.500 0.500 0.165 [1 per cell]
5 Ir 0.000 0.500 0.319 [2 per cell]
6 O 0.000 0.000 0.676 [1 per cell]
7 O 0.500 0.500 0.954 [1 per cell]

Most intense lines, 2θ from 5° to 70°, low angle first:
index	2θ/deg	Rel. int.
0 0 1	12.1	70
1 0 1	26.3	48
1 0 2	33.9	18
1 1 1	35.4	100
0 0 3	36.9	39
1 1 2	41.5	88
2 0 0	47.5	45
1 1 4	61.2	15
2 0 3	61.6	36
2 2 0	69.4	14